Diffraction record for K3VPCO7. The PXRD pattern is calculated, not measured: it uses a crystal structure in Alexandria, relaxed with GGA+U and CuKα.
Peak positions follow from Bragg's law for the DFT cell and can differ from measured ones.

Top 12 peaks for 15 to 90 degrees two-theta, by angle:
| Position (°2θ) | d (Å) | I (rel.) | (hkl) |
| --- | --- | --- | --- |
| 18.1 | 4.914 | 9 | 1 0 -1 |
| 25.5 | 3.490 | 20 | 0 2 0 |
| 27.4 | 3.260 | 10 | 1 1 2 |
| 27.7 | 3.221 | 11 | 0 0 3 |
| 31.4 | 2.848 | 100 | 2 0 0 |
| 31.6 | 2.829 | 35 | 0 2 2 |
| 31.9 | 2.805 | 25 | 1 0 -3 |
| 38.9 | 2.318 | 8 | 2 1 -2 |
| 42.3 | 2.136 | 28 | 2 0 -3 |
| 45.1 | 2.009 | 11 | 2 2 2 |
| 52.4 | 1.745 | 13 | 0 4 0 |
| 62.4 | 1.488 | 9 | 2 4 0 |

Cell and atoms:
a b c (Å): 5.7072 6.9807 9.6635
angles (deg): 90.00 90.02 90.00
Space group P2_1/m (No. 11)
One atom of each set of equivalent atoms:
K: 0.2440 0.2500 0.0712 (multiplicity 2)
K: 0.2551 0.5099 0.7068 (multiplicity 4)
V: 0.2426 0.7500 0.3449 (multiplicity 2)
P: 0.2622 0.2500 0.4166 (multiplicity 2)
C: 0.2562 0.7500 0.0763 (multiplicity 2)
O: 0.0582 0.7500 0.1456 (multiplicity 2)
O: 0.0658 0.2500 0.5271 (multiplicity 2)
O: 0.2410 0.0690 0.3224 (multiplicity 4)
O: 0.2608 0.7500 0.9432 (multiplicity 2)
O: 0.4495 0.7500 0.1507 (multiplicity 2)
O: 0.4931 0.7500 0.5121 (multiplicity 2)